Record 1
This entry pairs a crystal structure of Hf2NiPtPb2 with its simulated powder diffractogram. Radiation: Cu Kα (weighted mean of Kα1 and Kα2). Structure: a crystal structure in OQMD, relaxed with PBE.
Neutral-atom scattering factors, no anomalous dispersion.

Main lines, in order of rising 2θ (2θ = 10–90°):
24.28°, rel. 17; 28.04°, rel. 10; 28.15°, rel. 21; 40.17°, rel. 100; 49.75°, rel. 9; 58.20°, rel. 11; 65.85°, rel. 8; 72.90°, rel. 11; 73.06°, rel. 23; 86.70°, rel. 7

```
data_Hf2NiPtPb2
_chemical_formula_sum 'Hf8 Ni4 Pt4 Pb8'
_cell_length_a 7.7859
_cell_length_b 4.4835
_cell_length_c 14.8820
_cell_angle_alpha 90.00
_cell_angle_beta 99.84
_cell_angle_gamma 90.00
_space_group_name_H-M_alt 'P 1 m 1'
_space_group_IT_number 6
loop_
_space_group_symop_operation_xyz
'x,y,z'
'x,-y,z'
loop_
_atom_site_label
_atom_site_type_symbol
_atom_site_fract_x
_atom_site_fract_y
_atom_site_fract_z
Hf1 Hf 0.0000 0.0000 0.0000
Hf2 Hf 0.0006 0.5000 0.4989
Hf3 Hf 0.2492 0.5000 0.2484
Hf4 Hf 0.2525 0.0000 0.7566
Hf5 Hf 0.4958 0.5000 0.0005
Hf6 Hf 0.4986 0.0000 0.4997
Hf7 Hf 0.7468 0.0000 0.2485
Hf8 Hf 0.7498 0.5000 0.7566
Ni1 Ni 0.3119 0.0000 0.9401
Ni2 Ni 0.3115 0.5000 0.4363
Ni3 Ni 0.5587 0.5000 0.1861
Ni4 Ni 0.8114 0.5000 0.9392
Pt1 Pt 0.0617 0.0000 0.1866
Pt2 Pt 0.0649 0.5000 0.6924
Pt3 Pt 0.5614 0.0000 0.6921
Pt4 Pt 0.8111 0.0000 0.4356
Pb1 Pb 0.1268 0.5000 0.8847
Pb2 Pb 0.1378 0.0000 0.3784
Pb3 Pb 0.3722 0.5000 0.6190
Pb4 Pb 0.3844 0.0000 0.1231
Pb5 Pb 0.6096 0.5000 0.3692
Pb6 Pb 0.6268 0.0000 0.8851
Pb7 Pb 0.8590 0.5000 0.1207
Pb8 Pb 0.8742 0.0000 0.6264
```



Record 2
This entry pairs a crystal structure of Hf2ZrNi2Sb4Pd2 with its simulated powder diffractogram. Radiation: Cu Kα (weighted mean of Kα1 and Kα2). Structure: a crystal structure in OQMD, relaxed with PBE.
Neutral-atom scattering factors, no anomalous dispersion.

Main lines, in order of rising 2θ (2θ = 10–90°):
17.25°, rel. 34; 25.17°, rel. 18; 33.94°, rel. 31; 34.36°, rel. 52; 34.84°, rel. 18; 35.92°, rel. 100; 37.20°, rel. 20; 41.27°, rel. 71; 43.86°, rel. 52; 46.82°, rel. 19

```
data_Hf2ZrNi2Sb4Pd2
_chemical_formula_sum 'Hf2 Zr1 Ni2 Sb4 Pd2'
_cell_length_a 6.8757
_cell_length_b 4.1274
_cell_length_c 7.7406
_cell_angle_alpha 90.00
_cell_angle_beta 90.16
_cell_angle_gamma 90.00
_space_group_name_H-M_alt 'P 1 m 1'
_space_group_IT_number 6
loop_
_space_group_symop_operation_xyz
'x,y,z'
'x,-y,z'
loop_
_atom_site_label
_atom_site_type_symbol
_atom_site_fract_x
_atom_site_fract_y
_atom_site_fract_z
Hf1 Hf 0.0000 0.0000 0.0000
Hf2 Hf 0.4543 0.5000 0.4986
Zr1 Zr 0.5277 0.0000 0.0903
Ni1 Ni 0.3741 0.5000 0.8474
Ni2 Ni 0.5911 0.0000 0.7325
Sb1 Sb 0.2137 0.0000 0.6941
Sb2 Sb 0.2421 0.5000 0.1614
Sb3 Sb 0.7474 0.0000 0.4325
Sb4 Sb 0.7493 0.5000 0.8645
Pd1 Pd 0.1404 0.0000 0.3623
Pd2 Pd 0.8305 0.5000 0.2235
```



Record 3
This entry pairs a crystal structure of Hf2NiSn2Pd with its simulated powder diffractogram. Radiation: Cu Kα (weighted mean of Kα1 and Kα2). Structure: a crystal structure in OQMD, relaxed with PBE.
Neutral-atom scattering factors, no anomalous dispersion.

Main lines, in order of rising 2θ (2θ = 10–90°):
24.73°, rel. 18; 28.63°, rel. 39; 40.94°, rel. 100; 48.46°, rel. 6; 50.72°, rel. 11; 59.35°, rel. 11; 67.19°, rel. 10; 74.46°, rel. 11; 74.60°, rel. 23; 88.69°, rel. 7

```
data_Hf2NiSn2Pd
_chemical_formula_sum 'Hf8 Ni4 Sn8 Pd4'
_cell_length_a 7.6453
_cell_length_b 4.4039
_cell_length_c 14.6185
_cell_angle_alpha 90.00
_cell_angle_beta 99.86
_cell_angle_gamma 90.00
_space_group_name_H-M_alt 'P 1 m 1'
_space_group_IT_number 6
loop_
_space_group_symop_operation_xyz
'x,y,z'
'x,-y,z'
loop_
_atom_site_label
_atom_site_type_symbol
_atom_site_fract_x
_atom_site_fract_y
_atom_site_fract_z
Hf1 Hf 0.0000 0.0000 0.0000
Hf2 Hf 0.0046 0.5000 0.4943
Hf3 Hf 0.2410 0.0000 0.7408
Hf4 Hf 0.2476 0.5000 0.2445
Hf5 Hf 0.4883 0.0000 0.4891
Hf6 Hf 0.4998 0.5000 0.0000
Hf7 Hf 0.7458 0.0000 0.2411
Hf8 Hf 0.7547 0.5000 0.7426
Ni1 Ni 0.0604 0.5000 0.6795
Ni2 Ni 0.0606 0.0000 0.1829
Ni3 Ni 0.3075 0.5000 0.4292
Ni4 Ni 0.5599 0.5000 0.1822
Sn1 Sn 0.1228 0.5000 0.8649
Sn2 Sn 0.1263 0.0000 0.3659
Sn3 Sn 0.3659 0.5000 0.6150
Sn4 Sn 0.3735 0.0000 0.1251
Sn5 Sn 0.6148 0.5000 0.3658
Sn6 Sn 0.6219 0.0000 0.8686
Sn7 Sn 0.8757 0.5000 0.1255
Sn8 Sn 0.8790 0.0000 0.6190
Pd1 Pd 0.3100 0.0000 0.9339
Pd2 Pd 0.5597 0.0000 0.6789
Pd3 Pd 0.8102 0.0000 0.4300
Pd4 Pd 0.8128 0.5000 0.9345
```



Record 4
This entry pairs a crystal structure of HfNiSnPd with its simulated powder diffractogram. Radiation: Cu Kα (weighted mean of Kα1 and Kα2). Structure: a crystal structure in OQMD, relaxed with PBE.
Neutral-atom scattering factors, no anomalous dispersion.

Main lines, in order of rising 2θ (2θ = 10–90°):
23.87°, rel. 5; 27.63°, rel. 9; 39.48°, rel. 100; 46.66°, rel. 3; 48.87°, rel. 3; 57.06°, rel. 17; 62.73°, rel. 1; 64.55°, rel. 4; 71.60°, rel. 35; 84.98°, rel. 11

```
data_HfNiSnPd
_chemical_formula_sum 'Hf4 Ni4 Sn4 Pd4'
_cell_length_a 6.4563
_cell_length_b 6.4563
_cell_length_c 6.4563
_cell_angle_alpha 90.00
_cell_angle_beta 90.00
_cell_angle_gamma 90.00
_space_group_name_H-M_alt 'F -4 3 m'
_space_group_IT_number 216
_space_group_name_Hall 'F -4 2 3'
loop_
_atom_site_label
_atom_site_type_symbol
_atom_site_fract_x
_atom_site_fract_y
_atom_site_fract_z
Hf1 Hf 0.0000 0.0000 0.0000
Ni1 Ni 0.2500 0.2500 0.7500
Sn1 Sn 0.0000 0.0000 0.5000
Pd1 Pd 0.2500 0.2500 0.2500
```